No. 1
Structure and theoretical powder diffraction line list of Nd3SmCo2 (a crystal structure in Alexandria, relaxed with GGA-PBE; copper Kα).
Kinematic intensities with the Lorentz-polarization factor, no thermal factor.

Peak list (12 most intense, 2θ from 10° to 90°, in order of rising 2θ)
d_spacing, intensity
3.069, 805
2.988, 557
2.945, 510
2.926, 311
2.819, 641
2.757, 1000
2.539, 315
2.270, 329
2.250, 373
2.215, 340
1.902, 345
1.720, 323

a b c (Å): 8.7368 8.7368 12.1163
angles (deg): 124.13 124.13 25.15
Sites, in units of the cell vectors:
Nd1 0.0841 0.0841 0.4454
Nd2 0.0845 0.0845 0.9425
Nd3 0.3409 0.3409 0.7488
Nd4 0.6591 0.6591 0.2512
Nd5 0.9155 0.9155 0.0575
Nd6 0.9159 0.9159 0.5546
Sm1 0.3395 0.3395 0.2469
Sm2 0.6605 0.6605 0.7531
Co1 0.2654 0.2654 0.4526
Co2 0.2660 0.2660 0.9537
Co3 0.7340 0.7340 0.0463
Co4 0.7346 0.7346 0.5474

No. 2
Structure and theoretical powder diffraction line list of Mg14TiCr (a crystal structure in Alexandria, relaxed with GGA-PBE; copper Kα).
Kinematic intensities with the Lorentz-polarization factor, no thermal factor.

Peak list (12 most intense, 2θ from 10° to 90°, in order of rising 2θ)
d_spacing, intensity
2.732, 123
2.711, 255
2.555, 399
2.409, 519
2.395, 1000
1.859, 157
1.573, 169
1.446, 91
1.442, 177
1.340, 184
1.332, 91
1.310, 132

a b c (Å): 10.2216 6.2926 6.2926
angles (deg): 59.50 90.00 90.00
Sites, in units of the cell vectors:
Mg1 0.0000 0.0000 0.0000
Mg2 0.0000 0.0014 0.5003
Mg3 0.0000 0.5003 0.0014
Mg4 0.0000 0.4997 0.4997
Mg5 0.2529 0.6641 0.6641
Mg6 0.2579 0.1636 0.1636
Mg7 0.2609 0.1699 0.6692
Mg8 0.2609 0.6692 0.1699
Mg9 0.5000 0.5036 0.9992
Mg10 0.5000 0.9992 0.5036
Mg11 0.7391 0.1699 0.6692
Mg12 0.7391 0.6692 0.1699
Mg13 0.7421 0.1636 0.1636
Mg14 0.7471 0.6641 0.6641
Ti1 0.5000 0.5030 0.5030
Cr1 0.5000 0.0001 0.0001

No. 3
Structure and theoretical powder diffraction line list of MgTl2O4 (a crystal structure in Alexandria, relaxed with GGA-PBE; copper Kα).
Kinematic intensities with the Lorentz-polarization factor, no thermal factor.

Peak list (12 most intense, 2θ from 10° to 90°, in order of rising 2θ)
d_spacing, intensity
3.808, 617
3.305, 199
2.876, 409
2.835, 319
2.782, 1000
2.034, 102
2.019, 347
1.987, 111
1.730, 222
1.626, 229
1.524, 153
1.273, 93

a b c (Å): 5.6695 5.7433 11.5223
angles (deg): 90.00 90.00 90.00
Sites, in units of the cell vectors:
Mg1 0.0000 0.0000 0.0000
Mg2 0.0000 0.5000 0.5000
Mg3 0.5000 0.0000 0.5000
Mg4 0.5000 0.5000 0.0000
Tl1 0.0091 0.0541 0.3532
Tl2 0.0091 0.4459 0.8532
Tl3 0.4909 0.5541 0.3532
Tl4 0.4909 0.9459 0.8532
Tl5 0.5091 0.0541 0.1468
Tl6 0.5091 0.4459 0.6468
Tl7 0.9909 0.5541 0.1468
Tl8 0.9909 0.9459 0.6468
O1 0.1077 0.0674 0.8231
O2 0.1077 0.4326 0.3231
O3 0.1859 0.1891 0.5366
O4 0.1859 0.3109 0.0366
O5 0.3141 0.6891 0.5366
O6 0.3141 0.8109 0.0366
O7 0.3923 0.5674 0.8231
O8 0.3923 0.9326 0.3231
O9 0.6077 0.0674 0.6769
O10 0.6077 0.4326 0.1769
O11 0.6859 0.1891 0.9634
O12 0.6859 0.3109 0.4634
O13 0.8141 0.6891 0.9634
O14 0.8141 0.8109 0.4634
O15 0.8923 0.5674 0.6769
O16 0.8923 0.9326 0.1769

No. 4
Structure and theoretical powder diffraction line list of Zr5HgAu3 (a crystal structure in Alexandria, relaxed with GGA-PBE; copper Kα).
Kinematic intensities with the Lorentz-polarization factor, no thermal factor.

Peak list (12 most intense, 2θ from 10° to 90°, in order of rising 2θ)
d_spacing, intensity
3.473, 217
2.920, 84
2.545, 103
2.494, 1000
2.419, 843
1.896, 113
1.737, 282
1.440, 148
1.425, 279
1.260, 232
1.247, 83
1.108, 104

a b c (Å): 8.6399 8.6399 5.8399
angles (deg): 90.00 90.00 120.00
Sites, in units of the cell vectors:
Zr1 0.0000 0.3138 0.2500
Zr2 0.0000 0.6862 0.7500
Zr3 0.3138 0.0000 0.2500
Zr4 0.3138 0.3138 0.7500
Zr5 0.3333 0.6667 0.0000
Zr6 0.3333 0.6667 0.5000
Zr7 0.6667 0.3333 0.0000
Zr8 0.6667 0.3333 0.5000
Zr9 0.6862 0.0000 0.7500
Zr10 0.6862 0.6862 0.2500
Hg1 0.0000 0.0000 0.0000
Hg2 0.0000 0.0000 0.5000
Au1 0.0000 0.3595 0.7500
Au2 0.0000 0.6405 0.2500
Au3 0.3595 0.0000 0.7500
Au4 0.3595 0.3595 0.2500
Au5 0.6405 0.0000 0.2500
Au6 0.6405 0.6405 0.7500

No. 5
Structure and theoretical powder diffraction line list of BaNpTcO6 (a crystal structure in Alexandria, relaxed with GGA-PBE; copper Kα).
Kinematic intensities with the Lorentz-polarization factor, no thermal factor.

Peak list (12 most intense, 2θ from 10° to 90°, in order of rising 2θ)
d_spacing, intensity
5.834, 269
4.754, 117
3.685, 1000
2.917, 132
2.745, 388
2.484, 182
2.201, 230
1.999, 448
1.799, 147
1.717, 231
1.585, 171
1.320, 105

a b c (Å): 5.4893 5.4893 5.8339
angles (deg): 90.00 90.00 120.00
Sites, in units of the cell vectors:
Ba1 0.0000 0.0000 0.0000
Np1 0.6667 0.3333 0.5000
Tc1 0.3333 0.6667 0.5000
O1 0.0104 0.3780 0.6917
O2 0.0104 0.6325 0.3083
O3 0.3675 0.3780 0.3083
O4 0.3675 0.9896 0.6917
O5 0.6220 0.6325 0.6917
O6 0.6220 0.9896 0.3083

No. 6
Structure and theoretical powder diffraction line list of Er3Ga3Au2 (a crystal structure in Alexandria, relaxed with GGA-PBE; copper Kα).
Kinematic intensities with the Lorentz-polarization factor, no thermal factor.

Peak list (12 most intense, 2θ from 10° to 90°, in order of rising 2θ)
d_spacing, intensity
3.120, 173
2.715, 1000
2.706, 532
2.602, 230
2.429, 231
2.396, 621
2.323, 239
2.205, 537
2.197, 523
1.661, 176
1.636, 166
1.372, 208

a b c (Å): 5.7304 5.7304 14.5741
angles (deg): 90.00 90.00 134.73
Sites, in units of the cell vectors:
Er1 0.0891 0.9109 0.6099
Er2 0.0891 0.9109 0.8901
Er3 0.3583 0.6417 0.7500
Er4 0.6417 0.3583 0.2500
Er5 0.9109 0.0891 0.1099
Er6 0.9109 0.0891 0.3901
Ga1 0.3578 0.6422 0.2500
Ga2 0.3884 0.6116 0.5362
Ga3 0.3884 0.6116 0.9638
Ga4 0.6116 0.3884 0.0362
Ga5 0.6116 0.3884 0.4638
Ga6 0.6422 0.3578 0.7500
Au1 0.2014 0.7986 0.1053
Au2 0.2014 0.7986 0.3947
Au3 0.7986 0.2014 0.6053
Au4 0.7986 0.2014 0.8947